No. 1
Theoretical XRD peak list
Compound: TbTm2In3CuNi2
Radiation: copper Kα
Structure: a cell relaxed with GGA-PBE
No peak broadening, texture or thermal motion is included.

Lattice parameters (Å, degrees): 3.806 12.827 7.407 90.00 90.00 90.00
Space group Amm2 (No. 38)
One atom of each set of equivalent atoms:
Tb (0.000, 0.000, 0.000)
Tm (0.000, 0.206, 0.619)
In (0.500, 0.000, 0.671)
In (0.500, 0.129, 0.284)
Cu (0.000, 0.000, 0.413)
Ni (0.500, 0.167, 0.913)

Largest 10 diffraction maxima, most intense first, 2θ = 10–90°:
d (Å)  2θ/deg  I_rel  h k l
2.654  33.8  100.0  1 3 1
2.452  36.6  75.8  1 2 2
2.424  37.1  50.8  0 5 1
1.372  68.3  24.5  1 7 3
1.612  57.2  23.5  1 7 1
2.138  42.3  23.4  0 3 3
1.497  62.0  22.2  2 5 1
1.903  47.8  20.1  2 0 0
1.779  51.4  15.9  0 7 1
1.422  65.7  12.1  2 3 3

---

No. 2
Theoretical XRD peak list
Compound: ZrInCuNi
Radiation: copper Kα
Structure: a cell relaxed with GGA-PBE
No peak broadening, texture or thermal motion is included.

Lattice parameters (Å, degrees): 4.497 4.497 6.399 90.00 90.00 90.00
Space group P-4m2 (No. 115)
One atom of each set of equivalent atoms:
Zr (0.000, 0.500, 0.249)
In (0.000, 0.500, 0.749)
Cu (0.000, 0.000, 0.000)
Cu (0.500, 0.500, 0.500)
Ni (0.000, 0.000, 0.500)
Ni (0.500, 0.500, 0.000)

Largest 10 diffraction maxima, most intense first, 2θ = 10–90°:
d (Å)  2θ/deg  I_rel  h k l
2.256  40.0  100.0  1 1 2
2.249  40.1  49.5  2 0 0
1.300  72.8  31.3  3 1 2
1.590  58.0  16.0  2 2 0
1.304  72.5  15.8  2 0 4
1.128  86.2  10.0  2 2 4
1.600  57.6  8.1  0 0 4
3.180  28.1  6.2  1 1 0
1.124  86.6  4.9  4 0 0
3.200  27.9  3.2  0 0 2

---

No. 3
Theoretical XRD peak list
Compound: InCuP
Radiation: copper Kα
Structure: a cell relaxed with GGA-PBE
No peak broadening, texture or thermal motion is included.

Lattice parameters (Å, degrees): 4.244 4.244 6.166 90.00 90.00 90.00
Space group P4_2/mmc (No. 131)
One atom of each set of equivalent atoms:
In (0.000, 0.000, 0.250)
Cu (0.000, 0.500, 0.000)
P (0.500, 0.500, 0.250)

Largest 10 diffraction maxima, most intense first, 2θ = 10–90°:
d (Å)  2θ/deg  I_rel  h k l
2.150  42.0  100.0  1 1 2
2.122  42.6  48.0  2 0 0
4.244  20.9  46.7  1 0 0
3.496  25.5  39.9  1 0 1
1.230  77.6  30.5  3 1 2
2.494  36.0  24.9  1 0 2
3.001  29.8  17.2  1 1 0
1.247  76.4  15.9  2 0 4
1.500  61.8  15.0  2 2 0
1.616  57.0  12.9  2 1 2

---

No. 4
Theoretical XRD peak list
Compound: InCu2Pb
Radiation: copper Kα
Structure: a cell relaxed with GGA-PBE
No peak broadening, texture or thermal motion is included.

Lattice parameters (Å, degrees): 6.781 6.781 6.781 90.00 90.00 90.00
Space group Pm-3m (No. 221)
One atom of each set of equivalent atoms:
In (0.000, 0.000, 0.000)
In (0.000, 0.000, 0.500)
Cu (0.230, 0.230, 0.230)
Pb (0.000, 0.500, 0.500)
Pb (0.500, 0.500, 0.500)

Largest 10 diffraction maxima, most intense first, 2θ = 10–90°:
d (Å)  2θ/deg  I_rel  h k l
2.397  37.5  100.0  2 2 0
1.384  67.7  32.1  4 2 2
3.390  26.3  21.2  2 0 0
1.695  54.1  16.5  4 0 0
1.516  61.1  10.4  4 2 0
1.199  80.1  9.8  4 4 0
1.957  46.4  7.0  2 2 2
3.033  29.5  6.7  2 1 0
1.130  86.0  6.3  6 0 0
1.645  55.9  2.9  3 2 2

---

No. 5
Theoretical XRD peak list
Compound: InCu3PdS4
Radiation: copper Kα
Structure: a cell relaxed with GGA-PBE
No peak broadening, texture or thermal motion is included.

Lattice parameters (Å, degrees): 5.606 5.606 5.606 90.00 90.00 90.00
Space group P-43m (No. 215)
One atom of each set of equivalent atoms:
In (0.000, 0.000, 0.000)
Cu (0.000, 0.500, 0.500)
Pd (0.500, 0.500, 0.500)
S (0.255, 0.255, 0.255)

Largest 10 diffraction maxima, most intense first, 2θ = 10–90°:
d (Å)  2θ/deg  I_rel  h k l
1.982  45.8  100.0  2 2 0
3.237  27.6  57.4  1 1 1
3.964  22.4  53.4  1 1 0
2.803  31.9  40.2  2 0 0
1.144  84.7  31.2  4 2 2
2.289  39.4  24.3  2 1 1
1.690  54.3  23.1  3 1 1
1.402  66.7  15.2  4 0 0
1.498  61.9  12.8  3 2 1
1.254  75.9  12.4  4 2 0

---

No. 6
Theoretical XRD peak list
Compound: TaInCuPd
Radiation: copper Kα
Structure: a cell relaxed with GGA-PBE
No peak broadening, texture or thermal motion is included.

Lattice parameters (Å, degrees): 6.418 6.418 6.418 90.00 90.00 90.00
Space group F-43m (No. 216)
One atom of each set of equivalent atoms:
Ta (0.000, 0.000, 0.000)
In (0.000, 0.000, 0.500)
Cu (0.250, 0.250, 0.750)
Pd (0.250, 0.250, 0.250)

Largest 10 diffraction maxima, most intense first, 2θ = 10–90°:
d (Å)  2θ/deg  I_rel  h k l
2.269  39.7  100.0  2 2 0
1.310  72.1  33.4  4 2 2
1.604  57.4  16.7  4 0 0
1.135  85.6  10.7  4 4 0
3.209  27.8  7.8  2 0 0
3.705  24.0  5.8  1 1 1
1.435  65.0  3.1  4 2 0
1.935  47.0  3.1  3 1 1
1.853  49.2  2.3  2 2 2
1.472  63.1  1.4  3 3 1